(1)
The following is a simulated PXRD pattern of CsCuAsSe2. It was derived from the GGA-PBE geometry in Alexandria, using Cu Kα, 1.54184 Å.
Lines closer than 0.1° are merged.

Atomic structure:
```
data_CsCuAsSe2
_chemical_formula_sum 'Cs2 Cu2 As2 Se4'
_cell_length_a 9.132
_cell_length_b 9.132
_cell_length_c 5.037
_cell_angle_alpha 90.00
_cell_angle_beta 90.00
_cell_angle_gamma 130.25
_space_group_name_H-M_alt 'P 1'
_space_group_IT_number 1
loop_
_space_group_symop_operation_xyz
'x,y,z'
loop_
_atom_site_label
_atom_site_type_symbol
_atom_site_fract_x
_atom_site_fract_y
_atom_site_fract_z
Cs1 Cs 0.250 0.750 0.796
Cs2 Cs 0.750 0.250 0.204
Cu1 Cu 0.000 0.000 0.000
Cu2 Cu 0.500 0.500 0.000
As1 As 0.250 0.250 0.500
As2 As 0.750 0.750 0.500
Se1 Se 0.102 0.898 0.311
Se2 Se 0.398 0.602 0.311
Se3 Se 0.602 0.398 0.689
Se4 Se 0.898 0.102 0.689
```

The 10 most intense peaks (2θ = 10–80°), in order of rising 2θ:
2θ/deg	intensity
21.45	124
23.15	404
26.61	1000
34.43	130
36.55	338
37.32	145
40.22	158
42.89	375
47.33	139
48.95	155



(2)
The following is a simulated PXRD pattern of CsCuTe6As. It was derived from the GGA-PBE geometry in Alexandria, using Cu Kα, 1.54184 Å.
Lines closer than 0.1° are merged.

Atomic structure:
```
data_CsCuTe6As
_chemical_formula_sum 'Cs2 Cu2 Te12 As2'
_cell_length_a 9.902
_cell_length_b 9.902
_cell_length_c 9.902
_cell_angle_alpha 128.52
_cell_angle_beta 117.50
_cell_angle_gamma 85.15
_space_group_name_H-M_alt 'P 1'
_space_group_IT_number 1
loop_
_space_group_symop_operation_xyz
'x,y,z'
loop_
_atom_site_label
_atom_site_type_symbol
_atom_site_fract_x
_atom_site_fract_y
_atom_site_fract_z
Cs1 Cs 0.397 0.147 0.250
Cs2 Cs 0.603 0.853 0.750
Cu1 Cu 0.000 0.000 0.500
Cu2 Cu 0.000 0.500 0.000
Te1 Te 0.098 0.415 0.227
Te2 Te 0.098 0.871 0.683
Te3 Te 0.126 0.876 0.250
Te4 Te 0.312 0.129 0.727
Te5 Te 0.312 0.585 0.183
Te6 Te 0.340 0.590 0.750
Te7 Te 0.660 0.410 0.250
Te8 Te 0.688 0.415 0.817
Te9 Te 0.688 0.871 0.273
Te10 Te 0.874 0.124 0.750
Te11 Te 0.902 0.129 0.317
Te12 Te 0.902 0.585 0.773
As1 As 0.000 0.500 0.500
As2 As 0.500 0.500 0.000
```

The 10 most intense peaks (2θ = 10–80°), in order of rising 2θ:
2θ/deg	intensity
21.02	328
23.24	321
24.02	168
24.41	406
27.04	669
34.93	230
36.75	1000
41.09	167
42.02	226
49.56	168



(3)
The following is a simulated PXRD pattern of CsAs2F6. It was derived from the GGA-PBE geometry in Alexandria, using Cu Kα, 1.54184 Å.
Lines closer than 0.1° are merged.

Atomic structure:
```
data_CsAs2F6
_chemical_formula_sum 'Cs2 As4 F12'
_cell_length_a 9.505
_cell_length_b 9.505
_cell_length_c 5.182
_cell_angle_alpha 93.81
_cell_angle_beta 93.81
_cell_angle_gamma 117.10
_space_group_name_H-M_alt 'P 1'
_space_group_IT_number 1
loop_
_space_group_symop_operation_xyz
'x,y,z'
loop_
_atom_site_label
_atom_site_type_symbol
_atom_site_fract_x
_atom_site_fract_y
_atom_site_fract_z
Cs1 Cs 0.123 0.877 0.750
Cs2 Cs 0.877 0.123 0.250
As1 As 0.252 0.460 0.812
As2 As 0.460 0.252 0.312
As3 As 0.540 0.748 0.688
As4 As 0.748 0.540 0.188
F1 F 0.063 0.262 0.791
F2 F 0.129 0.556 0.758
F3 F 0.256 0.400 0.471
F4 F 0.262 0.063 0.291
F5 F 0.400 0.256 0.971
F6 F 0.444 0.871 0.742
F7 F 0.556 0.129 0.258
F8 F 0.600 0.744 0.029
F9 F 0.738 0.937 0.709
F10 F 0.744 0.600 0.529
F11 F 0.871 0.444 0.242
F12 F 0.937 0.738 0.209
```

The 10 most intense peaks (2θ = 10–80°), in order of rising 2θ:
2θ/deg	intensity
19.23	609
21.22	809
21.92	1000
25.87	699
26.36	365
27.76	660
28.86	331
40.15	430
41.63	310
44.28	478



(4)
The following is a simulated PXRD pattern of Cs3AsF7. It was derived from the GGA-PBE geometry in Alexandria, using Cu Kα, 1.54184 Å.
Lines closer than 0.1° are merged.

Atomic structure:
```
data_Cs3AsF7
_chemical_formula_sum 'Cs6 As2 F14'
_cell_length_a 8.654
_cell_length_b 8.654
_cell_length_c 6.397
_cell_angle_alpha 90.00
_cell_angle_beta 90.00
_cell_angle_gamma 90.00
_space_group_name_H-M_alt 'P 1'
_space_group_IT_number 1
loop_
_space_group_symop_operation_xyz
'x,y,z'
loop_
_atom_site_label
_atom_site_type_symbol
_atom_site_fract_x
_atom_site_fract_y
_atom_site_fract_z
Cs1 Cs 0.000 0.000 0.000
Cs2 Cs 0.194 0.306 0.500
Cs3 Cs 0.306 0.806 0.500
Cs4 Cs 0.500 0.500 0.000
Cs5 Cs 0.694 0.194 0.500
Cs6 Cs 0.806 0.694 0.500
As1 As 0.000 0.500 0.000
As2 As 0.500 0.000 0.000
F1 F 0.000 0.000 0.500
F2 F 0.110 0.610 0.216
F3 F 0.110 0.610 0.784
F4 F 0.157 0.343 0.000
F5 F 0.343 0.843 0.000
F6 F 0.390 0.110 0.216
F7 F 0.390 0.110 0.784
F8 F 0.500 0.500 0.500
F9 F 0.610 0.890 0.216
F10 F 0.610 0.890 0.784
F11 F 0.657 0.157 0.000
F12 F 0.843 0.657 0.000
F13 F 0.890 0.390 0.216
F14 F 0.890 0.390 0.784
```

The 10 most intense peaks (2θ = 10–80°), in order of rising 2θ:
2θ/deg	intensity
22.98	168
24.84	1000
26.93	225
27.90	279
29.19	361
32.72	145
36.44	287
40.81	276
43.10	129
47.54	162



(5)
The following is a simulated PXRD pattern of Cs2KAsF6. It was derived from the GGA-PBE geometry in Alexandria, using Cu Kα, 1.54184 Å.
Lines closer than 0.1° are merged.

Atomic structure:
```
data_Cs2KAsF6
_chemical_formula_sum 'Cs2 K1 As1 F6'
_cell_length_a 6.635
_cell_length_b 6.635
_cell_length_c 6.635
_cell_angle_alpha 60.00
_cell_angle_beta 60.00
_cell_angle_gamma 60.00
_space_group_name_H-M_alt 'P 1'
_space_group_IT_number 1
loop_
_space_group_symop_operation_xyz
'x,y,z'
loop_
_atom_site_label
_atom_site_type_symbol
_atom_site_fract_x
_atom_site_fract_y
_atom_site_fract_z
Cs1 Cs 0.250 0.250 0.250
Cs2 Cs 0.750 0.750 0.750
K1 K 0.000 0.000 0.000
As1 As 0.500 0.500 0.500
F1 F 0.278 0.278 0.722
F2 F 0.278 0.722 0.278
F3 F 0.278 0.722 0.722
F4 F 0.722 0.278 0.278
F5 F 0.722 0.278 0.722
F6 F 0.722 0.722 0.278
```

The 10 most intense peaks (2θ = 10–80°), in order of rising 2θ:
2θ/deg	intensity
18.92	88
26.88	1000
33.07	212
38.37	383
47.47	394
55.39	236
62.62	199
66.05	64
69.40	74
75.88	220



(6)
The following is a simulated PXRD pattern of Cs2LaAsF6. It was derived from the GGA-PBE geometry in Alexandria, using Cu Kα, 1.54184 Å.
Lines closer than 0.1° are merged.

Atomic structure:
```
data_Cs2LaAsF6
_chemical_formula_sum 'Cs2 La1 As1 F6'
_cell_length_a 7.661
_cell_length_b 7.661
_cell_length_c 7.661
_cell_angle_alpha 131.02
_cell_angle_beta 131.02
_cell_angle_gamma 71.79
_space_group_name_H-M_alt 'P 1'
_space_group_IT_number 1
loop_
_space_group_symop_operation_xyz
'x,y,z'
loop_
_atom_site_label
_atom_site_type_symbol
_atom_site_fract_x
_atom_site_fract_y
_atom_site_fract_z
Cs1 Cs 0.250 0.750 0.500
Cs2 Cs 0.750 0.250 0.500
La1 La 0.000 0.000 0.000
As1 As 0.500 0.500 0.000
F1 F 0.185 0.185 0.000
F2 F 0.259 0.259 0.517
F3 F 0.259 0.741 0.000
F4 F 0.741 0.259 0.000
F5 F 0.741 0.741 0.483
F6 F 0.815 0.815 0.000
```

The 10 most intense peaks (2θ = 10–80°), in order of rising 2θ:
2θ/deg	intensity
24.46	1000
28.10	333
28.77	255
40.15	233
40.65	202
47.58	329
48.45	196
50.14	206
64.68	162
66.10	87



(7)
The following is a simulated PXRD pattern of CsMgAsF6. It was derived from the GGA-PBE geometry in Alexandria, using Cu Kα, 1.54184 Å.
Lines closer than 0.1° are merged.

Atomic structure:
```
data_CsMgAsF6
_chemical_formula_sum 'Cs1 Mg1 As1 F6'
_cell_length_a 5.500
_cell_length_b 5.589
_cell_length_c 6.484
_cell_angle_alpha 89.78
_cell_angle_beta 89.51
_cell_angle_gamma 60.64
_space_group_name_H-M_alt 'P 1'
_space_group_IT_number 1
loop_
_space_group_symop_operation_xyz
'x,y,z'
loop_
_atom_site_label
_atom_site_type_symbol
_atom_site_fract_x
_atom_site_fract_y
_atom_site_fract_z
Cs1 Cs 0.000 0.000 0.000
Mg1 Mg 0.335 0.330 0.500
As1 As 0.665 0.670 0.500
F1 F 0.012 0.604 0.325
F2 F 0.384 0.605 0.674
F3 F 0.389 0.012 0.321
F4 F 0.598 0.014 0.679
F5 F 0.615 0.389 0.329
F6 F 0.996 0.390 0.672
```

The 10 most intense peaks (2θ = 10–80°), in order of rising 2θ:
2θ/deg	intensity
18.53	195
22.83	1000
23.00	979
23.17	964
27.51	209
32.00	334
33.22	202
42.60	538
43.33	252
45.94	222